# 1
This entry pairs a crystal structure of Zr2CdB with its calculated X-ray powder pattern. Radiation: copper Kα. Structure: a cell relaxed with PBE.
No peak broadening, texture or thermal motion is included.

The 12 most intense peaks (2θ = 5–70°), in order of rising 2θ:
2θ = 19.00°, 4.671 Å, rel. 13
2θ = 31.61°, 2.831 Å, rel. 95
2θ = 34.00°, 2.637 Å, rel. 100
2θ = 35.69°, 2.516 Å, rel. 62
2θ = 40.73°, 2.215 Å, rel. 36
2θ = 45.78°, 1.982 Å, rel. 12
2θ = 50.11°, 1.820 Å, rel. 41
2θ = 51.36°, 1.779 Å, rel. 15
2θ = 55.25°, 1.663 Å, rel. 11
2θ = 65.43°, 1.426 Å, rel. 20
2θ = 65.79°, 1.419 Å, rel. 24
2θ = 67.53°, 1.387 Å, rel. 20

```
data_Zr2CdB
_chemical_formula_sum 'Zr8 Cd4 B4'
_cell_length_a 7.116
_cell_length_b 7.116
_cell_length_c 6.192
_cell_angle_alpha 90.00
_cell_angle_beta 90.00
_cell_angle_gamma 90.00
_space_group_name_H-M_alt 'P 1'
_space_group_IT_number 1
_space_group_name_Hall 'P 1'
loop_
_atom_site_label
_atom_site_fract_x
_atom_site_fract_y
_atom_site_fract_z
Zr1 0.185 0.250 0.125
Zr2 0.250 0.685 0.375
Zr3 0.250 0.815 0.875
Zr4 0.315 0.250 0.625
Zr5 0.685 0.750 0.625
Zr6 0.750 0.185 0.875
Zr7 0.750 0.315 0.375
Zr8 0.815 0.750 0.125
Cd1 0.000 0.000 0.500
Cd2 0.000 0.500 0.750
Cd3 0.500 0.000 0.250
Cd4 0.500 0.500 0.000
B1 0.000 0.000 0.000
B2 0.000 0.500 0.250
B3 0.500 0.000 0.750
B4 0.500 0.500 0.500
```

# 2
This entry pairs a crystal structure of CeB4ClO8 with its calculated X-ray powder pattern. Radiation: copper Kα. Structure: a cell relaxed with PBE.
No peak broadening, texture or thermal motion is included.

The 12 most intense peaks (2θ = 5–70°), in order of rising 2θ:
2θ = 15.61°, 5.676 Å, rel. 58
2θ = 16.12°, 5.500 Å, rel. 28
2θ = 16.66°, 5.321 Å, rel. 100
2θ = 19.76°, 4.493 Å, rel. 56
2θ = 20.94°, 4.242 Å, rel. 49
2θ = 27.51°, 3.242 Å, rel. 38
2θ = 30.19°, 2.960 Å, rel. 37
2θ = 31.55°, 2.836 Å, rel. 49
2θ = 37.62°, 2.391 Å, rel. 24
2θ = 42.16°, 2.144 Å, rel. 63
2θ = 43.95°, 2.060 Å, rel. 27
2θ = 45.24°, 2.004 Å, rel. 28

```
data_CeB4ClO8
_chemical_formula_sum 'Ce2 B8 Cl2 O16'
_cell_length_a 6.556
_cell_length_b 6.556
_cell_length_c 9.378
_cell_angle_alpha 98.23
_cell_angle_beta 98.23
_cell_angle_gamma 119.94
_space_group_name_H-M_alt 'P 1'
_space_group_IT_number 1
_space_group_name_Hall 'P 1'
loop_
_atom_site_label
_atom_site_fract_x
_atom_site_fract_y
_atom_site_fract_z
Ce1 0.195 0.805 0.500
Ce2 0.805 0.195 0.000
B1 0.040 0.240 0.345
B2 0.147 0.620 0.838
B3 0.240 0.040 0.845
B4 0.433 0.487 0.923
B5 0.487 0.433 0.423
B6 0.620 0.147 0.338
B7 0.740 0.861 0.401
B8 0.861 0.740 0.901
Cl1 0.034 0.673 0.185
Cl2 0.673 0.034 0.685
O1 0.007 0.190 0.185
O2 0.020 0.976 0.900
O3 0.151 0.587 0.683
O4 0.190 0.007 0.685
O5 0.215 0.474 0.915
O6 0.286 0.446 0.422
O7 0.329 0.882 0.890
O8 0.446 0.286 0.922
O9 0.474 0.215 0.415
O10 0.559 0.906 0.365
O11 0.587 0.151 0.183
O12 0.646 0.706 0.934
O13 0.706 0.646 0.434
O14 0.882 0.329 0.390
O15 0.906 0.559 0.865
O16 0.976 0.020 0.400
```

# 3
This entry pairs a crystal structure of Ce2Co7B3 with its calculated X-ray powder pattern. Radiation: copper Kα. Structure: a cell relaxed with PBE.
No peak broadening, texture or thermal motion is included.

The 12 most intense peaks (2θ = 5–70°), in order of rising 2θ:
2θ = 20.43°, 4.346 Å, rel. 18
2θ = 34.66°, 2.588 Å, rel. 100
2θ = 34.81°, 2.577 Å, rel. 7
2θ = 35.78°, 2.509 Å, rel. 23
2θ = 40.70°, 2.217 Å, rel. 8
2θ = 41.56°, 2.173 Å, rel. 97
2θ = 41.69°, 2.167 Å, rel. 6
2θ = 45.84°, 1.980 Å, rel. 84
2θ = 57.19°, 1.611 Å, rel. 9
2θ = 61.39°, 1.510 Å, rel. 5
2θ = 63.58°, 1.463 Å, rel. 34
2θ = 69.33°, 1.355 Å, rel. 10

```
data_Ce2Co7B3
_chemical_formula_sum 'Ce4 Co14 B6'
_cell_length_a 5.019
_cell_length_b 5.019
_cell_length_c 12.885
_cell_angle_alpha 90.00
_cell_angle_beta 90.00
_cell_angle_gamma 120.00
_space_group_name_H-M_alt 'P 1'
_space_group_IT_number 1
_space_group_name_Hall 'P 1'
loop_
_atom_site_label
_atom_site_fract_x
_atom_site_fract_y
_atom_site_fract_z
Ce1 0.000 0.000 0.000
Ce2 0.000 0.000 0.243
Ce3 0.000 0.000 0.500
Ce4 0.000 0.000 0.757
Co1 0.000 0.500 0.116
Co2 0.000 0.500 0.343
Co3 0.000 0.500 0.657
Co4 0.000 0.500 0.884
Co5 0.333 0.667 0.500
Co6 0.500 0.000 0.116
Co7 0.500 0.000 0.343
Co8 0.500 0.000 0.657
Co9 0.500 0.000 0.884
Co10 0.500 0.500 0.116
Co11 0.500 0.500 0.343
Co12 0.500 0.500 0.657
Co13 0.500 0.500 0.884
Co14 0.667 0.333 0.500
B1 0.333 0.667 0.000
B2 0.333 0.667 0.231
B3 0.333 0.667 0.769
B4 0.667 0.333 0.000
B5 0.667 0.333 0.231
B6 0.667 0.333 0.769
```

# 4
This entry pairs a crystal structure of CeCo9B4 with its calculated X-ray powder pattern. Radiation: copper Kα. Structure: a cell relaxed with PBE.
No peak broadening, texture or thermal motion is included.

The 12 most intense peaks (2θ = 5–70°), in order of rising 2θ:
2θ = 28.49°, 3.133 Å, rel. 6
2θ = 33.43°, 2.680 Å, rel. 18
2θ = 37.23°, 2.415 Å, rel. 21
2θ = 37.79°, 2.381 Å, rel. 12
2θ = 38.61°, 2.332 Å, rel. 8
2θ = 38.88°, 2.316 Å, rel. 9
2θ = 41.76°, 2.163 Å, rel. 9
2θ = 42.51°, 2.126 Å, rel. 100
2θ = 50.90°, 1.794 Å, rel. 7
2θ = 52.19°, 1.753 Å, rel. 9
2θ = 56.16°, 1.638 Å, rel. 21
2θ = 66.95°, 1.398 Å, rel. 11

```
data_CeCo9B4
_chemical_formula_sum 'Ce2 Co18 B8'
_cell_length_a 7.454
_cell_length_b 7.454
_cell_length_c 7.454
_cell_angle_alpha 121.14
_cell_angle_beta 121.14
_cell_angle_gamma 88.03
_space_group_name_H-M_alt 'P 1'
_space_group_IT_number 1
_space_group_name_Hall 'P 1'
loop_
_atom_site_label
_atom_site_fract_x
_atom_site_fract_y
_atom_site_fract_z
Ce1 0.243 0.243 0.000
Ce2 0.757 0.757 0.000
Co1 0.000 0.500 0.500
Co2 0.052 0.835 0.530
Co3 0.097 0.805 0.902
Co4 0.165 0.694 0.217
Co5 0.195 0.097 0.293
Co6 0.306 0.522 0.470
Co7 0.307 0.408 0.714
Co8 0.408 0.693 0.101
Co9 0.478 0.948 0.783
Co10 0.500 0.000 0.500
Co11 0.522 0.052 0.217
Co12 0.592 0.307 0.899
Co13 0.693 0.592 0.286
Co14 0.694 0.478 0.530
Co15 0.805 0.903 0.707
Co16 0.835 0.306 0.783
Co17 0.903 0.195 0.098
Co18 0.948 0.165 0.470
B1 0.042 0.497 0.806
B2 0.236 0.042 0.545
B3 0.309 0.764 0.806
B4 0.497 0.691 0.455
B5 0.503 0.309 0.545
B6 0.691 0.236 0.194
B7 0.764 0.958 0.455
B8 0.958 0.503 0.194
```

# 5
This entry pairs a crystal structure of Ce2GaCo5B2 with its calculated X-ray powder pattern. Radiation: copper Kα. Structure: a cell relaxed with PBE.
No peak broadening, texture or thermal motion is included.

The 12 most intense peaks (2θ = 5–70°), in order of rising 2θ:
2θ = 22.04°, 4.034 Å, rel. 25
2θ = 34.86°, 2.574 Å, rel. 12
2θ = 36.30°, 2.475 Å, rel. 100
2θ = 40.35°, 2.235 Å, rel. 41
2θ = 41.27°, 2.188 Å, rel. 77
2θ = 42.52°, 2.126 Å, rel. 18
2θ = 42.87°, 2.109 Å, rel. 76
2θ = 44.94°, 2.017 Å, rel. 26
2θ = 46.44°, 1.955 Å, rel. 23
2θ = 58.94°, 1.567 Å, rel. 19
2θ = 67.53°, 1.387 Å, rel. 20
2θ = 69.33°, 1.355 Å, rel. 21

```
data_Ce2GaCo5B2
_chemical_formula_sum 'Ce4 Ga2 Co10 B4'
_cell_length_a 9.020
_cell_length_b 9.020
_cell_length_c 3.134
_cell_angle_alpha 90.00
_cell_angle_beta 90.00
_cell_angle_gamma 90.00
_space_group_name_H-M_alt 'P 1'
_space_group_IT_number 1
_space_group_name_Hall 'P 1'
loop_
_atom_site_label
_atom_site_fract_x
_atom_site_fract_y
_atom_site_fract_z
Ce1 0.180 0.320 0.000
Ce2 0.320 0.820 0.000
Ce3 0.680 0.180 0.000
Ce4 0.820 0.680 0.000
Ga1 0.000 0.000 0.000
Ga2 0.500 0.500 0.000
Co1 0.000 0.500 0.500
Co2 0.069 0.770 0.500
Co3 0.230 0.069 0.500
Co4 0.270 0.569 0.500
Co5 0.431 0.270 0.500
Co6 0.500 0.000 0.500
Co7 0.569 0.730 0.500
Co8 0.730 0.431 0.500
Co9 0.770 0.931 0.500
Co10 0.931 0.230 0.500
B1 0.116 0.616 0.000
B2 0.384 0.116 0.000
B3 0.616 0.884 0.000
B4 0.884 0.384 0.000
```

# 6
This entry pairs a crystal structure of Ce2GaCo12B3 with its calculated X-ray powder pattern. Radiation: copper Kα. Structure: a cell relaxed with PBE.
No peak broadening, texture or thermal motion is included.

The 12 most intense peaks (2θ = 5–70°), in order of rising 2θ:
2θ = 25.27°, 3.525 Å, rel. 17
2θ = 27.40°, 3.255 Å, rel. 13
2θ = 29.84°, 2.994 Å, rel. 31
2θ = 30.78°, 2.905 Å, rel. 19
2θ = 37.61°, 2.391 Å, rel. 28
2θ = 40.83°, 2.210 Å, rel. 71
2θ = 41.67°, 2.168 Å, rel. 100
2θ = 43.75°, 2.069 Å, rel. 26
2θ = 48.10°, 1.892 Å, rel. 25
2θ = 49.36°, 1.846 Å, rel. 14
2θ = 51.88°, 1.762 Å, rel. 44
2θ = 68.23°, 1.374 Å, rel. 13

```
data_Ce2GaCo12B3
_chemical_formula_sum 'Ce2 Ga1 Co12 B3'
_cell_length_a 6.549
_cell_length_b 6.549
_cell_length_c 6.549
_cell_angle_alpha 65.12
_cell_angle_beta 65.12
_cell_angle_gamma 65.12
_space_group_name_H-M_alt 'P 1'
_space_group_IT_number 1
_space_group_name_Hall 'P 1'
loop_
_atom_site_label
_atom_site_fract_x
_atom_site_fract_y
_atom_site_fract_z
Ce1 0.101 0.101 0.101
Ce2 0.899 0.899 0.899
Ga1 0.500 0.500 0.500
Co1 0.067 0.655 0.655
Co2 0.232 0.232 0.628
Co3 0.232 0.628 0.232
Co4 0.345 0.345 0.933
Co5 0.345 0.933 0.345
Co6 0.372 0.768 0.768
Co7 0.628 0.232 0.232
Co8 0.655 0.067 0.655
Co9 0.655 0.655 0.067
Co10 0.768 0.372 0.768
Co11 0.768 0.768 0.372
Co12 0.933 0.345 0.345
B1 0.000 0.500 0.500
B2 0.500 0.000 0.500
B3 0.500 0.500 0.000
```

# 7
This entry pairs a crystal structure of Ce3CoB2Rh9 with its calculated X-ray powder pattern. Radiation: copper Kα. Structure: a cell relaxed with PBE.
No peak broadening, texture or thermal motion is included.

The 12 most intense peaks (2θ = 5–70°), in order of rising 2θ:
2θ = 28.14°, 3.172 Å, rel. 6
2θ = 30.31°, 2.949 Å, rel. 3
2θ = 33.21°, 2.697 Å, rel. 35
2θ = 36.90°, 2.436 Å, rel. 100
2θ = 37.73°, 2.384 Å, rel. 9
2θ = 41.83°, 2.160 Å, rel. 84
2θ = 48.40°, 1.881 Å, rel. 4
2θ = 49.12°, 1.855 Å, rel. 4
2θ = 58.17°, 1.586 Å, rel. 22
2θ = 58.83°, 1.570 Å, rel. 3
2θ = 63.04°, 1.475 Å, rel. 26
2θ = 68.66°, 1.367 Å, rel. 10

```
data_Ce3CoB2Rh9
_chemical_formula_sum 'Ce3 Co1 B2 Rh9'
_cell_length_a 5.898
_cell_length_b 5.898
_cell_length_c 8.092
_cell_angle_alpha 90.00
_cell_angle_beta 90.00
_cell_angle_gamma 120.00
_space_group_name_H-M_alt 'P 1'
_space_group_IT_number 1
_space_group_name_Hall 'P 1'
loop_
_atom_site_label
_atom_site_fract_x
_atom_site_fract_y
_atom_site_fract_z
Ce1 0.000 0.000 0.000
Ce2 0.333 0.667 0.650
Ce3 0.667 0.333 0.350
Co1 0.000 0.000 0.500
B1 0.333 0.667 0.150
B2 0.667 0.333 0.850
Rh1 0.000 0.500 0.000
Rh2 0.169 0.338 0.298
Rh3 0.169 0.831 0.298
Rh4 0.338 0.169 0.702
Rh5 0.500 0.000 0.000
Rh6 0.500 0.500 0.000
Rh7 0.662 0.831 0.298
Rh8 0.831 0.169 0.702
Rh9 0.831 0.662 0.702
```